# 1
For KCaAuO2, a GGA-PBE-relaxed structure gives the theoretical X-ray powder pattern in this record (Cu Kα (λ = 1.5418 Å)).

Atomic structure:
Cell lengths 7.195, 7.195, 5.132 Å; angles 90.00, 90.00, 124.11 degrees
Element x y z (fractional)
K 0.250 0.750 0.795
K 0.750 0.250 0.205
Ca 0.250 0.250 0.000
Ca 0.750 0.750 0.000
Au 0.000 0.000 0.500
Au 0.500 0.500 0.500
O 0.099 0.901 0.183
O 0.401 0.599 0.183
O 0.599 0.401 0.817
O 0.901 0.099 0.817

Most intense lines, 2θ from 10° to 80°, low angle first:
2θ/deg, I (rel.)
13.93, 100
17.28, 21
22.26, 40
26.43, 28
28.08, 29
31.75, 30
34.82, 63
37.81, 29
42.89, 33
54.16, 20

=====

# 2
For LiIrBr4, a GGA-PBE-relaxed structure gives the theoretical X-ray powder pattern in this record (Cu Kα (λ = 1.5418 Å)).

Atomic structure:
Cell lengths 6.778, 6.778, 6.729 Å; angles 96.42, 96.42, 32.33 degrees
Element x y z (fractional)
Li 0.000 0.000 0.000
Ir 0.500 0.500 0.500
Br 0.107 0.107 0.386
Br 0.390 0.390 0.165
Br 0.610 0.610 0.835
Br 0.893 0.893 0.614

Most intense lines, 2θ from 10° to 80°, low angle first:
2θ/deg, I (rel.)
13.25, 77
13.70, 100
17.94, 41
24.57, 25
27.62, 24
31.53, 60
33.33, 90
43.26, 18
45.88, 30
47.19, 30

=====

# 3
For TlCdIn2Br5, a GGA-PBE-relaxed structure gives the theoretical X-ray powder pattern in this record (Cu Kα (λ = 1.5418 Å)).

Atomic structure:
Cell lengths 9.659, 9.659, 17.218 Å; angles 90.00, 90.00, 154.58 degrees
Element x y z (fractional)
Tl 0.058 0.942 0.500
Tl 0.942 0.058 0.000
Cd 0.249 0.751 0.095
Cd 0.751 0.249 0.595
In 0.352 0.648 0.316
In 0.436 0.564 0.711
In 0.564 0.436 0.211
In 0.648 0.352 0.816
Br 0.029 0.971 0.828
Br 0.102 0.898 0.079
Br 0.233 0.767 0.489
Br 0.263 0.737 0.709
Br 0.397 0.603 0.130
Br 0.603 0.397 0.630
Br 0.737 0.263 0.209
Br 0.767 0.233 0.989
Br 0.898 0.102 0.579
Br 0.971 0.029 0.328

Most intense lines, 2θ from 10° to 80°, low angle first:
2θ/deg, I (rel.)
10.28, 55
18.10, 63
23.82, 100
26.52, 50
30.29, 42
32.17, 42
33.84, 93
35.46, 65
41.39, 44
42.54, 41